Record 1
Computed X-ray diffraction stick pattern of ZnCu2SiS4 for Cu Kα, from a DFT-relaxed cell (GGA-PBE, the Materials Project).
Kinematic intensities with the Lorentz-polarization factor, no thermal factor.

Peak list (10 most intense, 2θ = 10–90°, most intense first)
| 2theta | I_rel |
| --- | --- |
| 53.02 | 100 |
| 27.74 | 87 |
| 31.40 | 86 |
| 29.06 | 79 |
| 49.21 | 62 |
| 40.64 | 45 |
| 27.85 | 43 |
| 31.49 | 40 |
| 58.17 | 38 |
| 49.01 | 33 |

Crystal structure
```
data_ZnCu2SiS4
_chemical_formula_sum 'Zn2 Cu4 Si2 S8'
_cell_length_a 6.1461
_cell_length_b 6.4064
_cell_length_c 9.6447
_cell_angle_alpha 90.00
_cell_angle_beta 129.57
_cell_angle_gamma 90.00
_space_group_name_H-M_alt 'P 1 c 1'
_space_group_IT_number 7
_space_group_name_Hall 'P -2yc'
loop_
_atom_site_label
_atom_site_type_symbol
_atom_site_fract_x
_atom_site_fract_y
_atom_site_fract_z
Zn1 Zn 0.0000 0.1753 0.0000
Cu1 Cu 0.2558 0.3474 0.7546
Cu2 Cu 0.5021 0.1726 0.5061
Si1 Si 0.7562 0.3257 0.2533
S1 S 0.1154 0.1733 0.4931
S2 S 0.4098 0.3233 0.2577
S3 S 0.6308 0.1707 0.0136
S4 S 0.8761 0.3595 0.7497
```



Record 2
Computed X-ray diffraction stick pattern of Hg2Br2N for Cu Kα, from a DFT-relaxed cell (GGA-PBE, the Materials Project).
Kinematic intensities with the Lorentz-polarization factor, no thermal factor.

Peak list (10 most intense, 2θ = 10–90°, most intense first)
| 2theta | I_rel |
| --- | --- |
| 28.67 | 100 |
| 40.99 | 59 |
| 20.17 | 29 |
| 59.36 | 27 |
| 67.24 | 24 |
| 32.13 | 17 |
| 53.01 | 17 |
| 88.87 | 15 |
| 81.83 | 15 |
| 46.08 | 14 |

Crystal structure
```
data_Hg2Br2N
_chemical_formula_sum 'Hg4 Br4 N2'
_cell_length_a 7.1953
_cell_length_b 7.1953
_cell_length_c 6.2220
_cell_angle_alpha 90.00
_cell_angle_beta 90.00
_cell_angle_gamma 120.00
_space_group_name_H-M_alt 'P 3 2 1'
_space_group_IT_number 150
_space_group_name_Hall 'P 3 2"'
loop_
_atom_site_label
_atom_site_type_symbol
_atom_site_fract_x
_atom_site_fract_y
_atom_site_fract_z
Hg1 Hg 0.0000 0.0000 0.0000
Hg2 Hg 0.0000 0.5030 0.5000
Br1 Br 0.0000 0.0000 0.5000
Br2 Br 0.0000 0.6349 0.0000
N1 N 0.3333 0.6667 0.5121
```



Record 3
Computed X-ray diffraction stick pattern of NaCaAlSi2O7 for Cu Kα, from a DFT-relaxed cell (GGA-PBE, the Materials Project).
Kinematic intensities with the Lorentz-polarization factor, no thermal factor.

Peak list (10 most intense, 2θ = 10–90°, most intense first)
| 2theta | I_rel |
| --- | --- |
| 31.14 | 100 |
| 30.97 | 97 |
| 31.56 | 83 |
| 31.43 | 77 |
| 36.83 | 67 |
| 17.35 | 57 |
| 24.05 | 45 |
| 37.09 | 38 |
| 25.82 | 36 |
| 29.01 | 35 |

Crystal structure
```
data_NaCaAlSi2O7
_chemical_formula_sum 'Na2 Ca2 Al2 Si4 O14'
_cell_length_a 5.1126
_cell_length_b 7.7101
_cell_length_c 7.7234
_cell_angle_alpha 90.00
_cell_angle_beta 91.29
_cell_angle_gamma 90.00
_space_group_name_H-M_alt 'P 1 21 1'
_space_group_IT_number 4
_space_group_name_Hall 'P 2yb'
loop_
_atom_site_label
_atom_site_type_symbol
_atom_site_fract_x
_atom_site_fract_y
_atom_site_fract_z
Na1 Na 0.0119 0.0000 0.4204
Ca1 Ca 0.0191 0.3224 0.0992
Al1 Al 0.4982 0.1624 0.7503
Si1 Si 0.4525 0.8058 0.6110
Si2 Si 0.4531 0.5210 0.8959
O1 O 0.2328 0.0231 0.0870
O2 O 0.2345 0.3115 0.3734
O3 O 0.3011 0.5802 0.0754
O4 O 0.3053 0.9866 0.6733
O5 O 0.3172 0.3330 0.8464
O6 O 0.3264 0.7530 0.4214
O7 O 0.3282 0.6600 0.7501
```



Record 4
Computed X-ray diffraction stick pattern of BiOF for Cu Kα, from a DFT-relaxed cell (GGA-PBE, the Materials Project).
Kinematic intensities with the Lorentz-polarization factor, no thermal factor.

Peak list (10 most intense, 2θ = 10–90°, most intense first)
| 2theta | I_rel |
| --- | --- |
| 25.99 | 100 |
| 42.65 | 14 |
| 50.32 | 14 |
| 29.56 | 14 |
| 43.13 | 14 |
| 43.47 | 12 |
| 30.03 | 12 |
| 30.68 | 11 |
| 50.92 | 11 |
| 51.76 | 11 |

Crystal structure
```
data_BiOF
_chemical_formula_sum 'Bi16 O16 F16'
_cell_length_a 5.8283
_cell_length_b 11.9017
_cell_length_c 12.0868
_cell_angle_alpha 90.00
_cell_angle_beta 90.00
_cell_angle_gamma 90.00
_space_group_name_H-M_alt 'P b c a'
_space_group_IT_number 61
_space_group_name_Hall '-P 2ac 2ab'
loop_
_atom_site_label
_atom_site_type_symbol
_atom_site_fract_x
_atom_site_fract_y
_atom_site_fract_z
Bi1 Bi 0.2102 0.0133 0.1148
Bi2 Bi 0.2173 0.7277 0.3586
O1 O 0.0714 0.1447 0.2346
O2 O 0.0930 0.5872 0.4583
F1 F 0.0114 0.6111 0.7215
F2 F 0.0505 0.6575 0.0297
```



Record 5
Computed X-ray diffraction stick pattern of Dy2AgIr for Cu Kα, from a DFT-relaxed cell (GGA-PBE, the Materials Project).
Kinematic intensities with the Lorentz-polarization factor, no thermal factor.

Peak list (10 most intense, 2θ = 10–90°, most intense first)
| 2theta | I_rel |
| --- | --- |
| 36.11 | 100 |
| 64.94 | 36 |
| 51.99 | 18 |
| 87.75 | 16 |
| 76.62 | 11 |
| 21.88 | 3 |
| 42.62 | 2 |
| 57.07 | 1 |
| 80.83 | 1 |
| 69.42 | 1 |

Crystal structure
```
data_Dy2AgIr
_chemical_formula_sum 'Dy8 Ag4 Ir4'
_cell_length_a 7.0351
_cell_length_b 7.0351
_cell_length_c 7.0351
_cell_angle_alpha 90.00
_cell_angle_beta 90.00
_cell_angle_gamma 90.00
_space_group_name_H-M_alt 'F m -3 m'
_space_group_IT_number 225
_space_group_name_Hall '-F 4 2 3'
loop_
_atom_site_label
_atom_site_type_symbol
_atom_site_fract_x
_atom_site_fract_y
_atom_site_fract_z
Dy1 Dy 0.2500 0.2500 0.2500
Ag1 Ag 0.0000 0.0000 0.0000
Ir1 Ir 0.0000 0.0000 0.5000
```



Record 6
Computed X-ray diffraction stick pattern of CsYZnSe3 for Cu Kα, from a DFT-relaxed cell (GGA-PBE, the Materials Project).
Kinematic intensities with the Lorentz-polarization factor, no thermal factor.

Peak list (10 most intense, 2θ = 10–90°, most intense first)
| 2theta | I_rel |
| --- | --- |
| 28.17 | 100 |
| 51.49 | 39 |
| 49.65 | 37 |
| 38.74 | 33 |
| 32.46 | 30 |
| 10.91 | 30 |
| 27.30 | 27 |
| 32.90 | 26 |
| 43.28 | 25 |
| 26.96 | 25 |

Crystal structure
```
data_CsYZnSe3
_chemical_formula_sum 'Cs4 Y4 Zn4 Se12'
_cell_length_a 4.1811
_cell_length_b 16.2180
_cell_length_c 11.0344
_cell_angle_alpha 90.00
_cell_angle_beta 90.00
_cell_angle_gamma 90.00
_space_group_name_H-M_alt 'C m c m'
_space_group_IT_number 63
_space_group_name_Hall '-C 2c 2'
loop_
_atom_site_label
_atom_site_type_symbol
_atom_site_fract_x
_atom_site_fract_y
_atom_site_fract_z
Cs1 Cs 0.0000 0.2418 0.2500
Y1 Y 0.0000 0.5000 0.0000
Zn1 Zn 0.0000 0.0398 0.7500
Se1 Se 0.0000 0.1168 0.5586
Se2 Se 0.0000 0.4459 0.7500
```



Record 7
Computed X-ray diffraction stick pattern of CdGeO3 for Cu Kα, from a DFT-relaxed cell (GGA-PBE, the Materials Project).
Kinematic intensities with the Lorentz-polarization factor, no thermal factor.

Peak list (10 most intense, 2θ = 10–90°, most intense first)
| 2theta | I_rel |
| --- | --- |
| 24.96 | 100 |
| 34.33 | 94 |
| 16.35 | 43 |
| 32.76 | 30 |
| 48.16 | 25 |
| 29.63 | 22 |
| 23.65 | 20 |
| 64.32 | 15 |
| 59.49 | 15 |
| 61.47 | 15 |

Crystal structure
```
data_CdGeO3
_chemical_formula_sum 'Cd4 Ge4 O12'
_cell_length_a 5.4677
_cell_length_b 10.8400
_cell_length_c 5.2279
_cell_angle_alpha 90.00
_cell_angle_beta 90.00
_cell_angle_gamma 90.00
_space_group_name_H-M_alt 'C m c 21'
_space_group_IT_number 36
_space_group_name_Hall 'C 2c -2'
loop_
_atom_site_label
_atom_site_type_symbol
_atom_site_fract_x
_atom_site_fract_y
_atom_site_fract_z
Cd1 Cd 0.0000 0.1158 0.0000
Ge1 Ge 0.0000 0.4413 0.9290
O1 O 0.0000 0.2899 0.8310
O2 O 0.2246 0.4855 0.1927
```



Record 8
Computed X-ray diffraction stick pattern of Eu2TaAlO6 for Cu Kα, from a DFT-relaxed cell (GGA-PBE, the Materials Project).
Kinematic intensities with the Lorentz-polarization factor, no thermal factor.

Peak list (10 most intense, 2θ = 10–90°, most intense first)
| 2theta | I_rel |
| --- | --- |
| 32.28 | 100 |
| 57.57 | 40 |
| 46.30 | 29 |
| 19.60 | 21 |
| 67.56 | 18 |
| 76.87 | 17 |
| 38.05 | 13 |
| 39.81 | 6 |
| 85.84 | 6 |
| 50.74 | 6 |

Crystal structure
```
data_Eu2TaAlO6
_chemical_formula_sum 'Eu8 Ta4 Al4 O24'
_cell_length_a 7.8433
_cell_length_b 7.8433
_cell_length_c 7.8433
_cell_angle_alpha 90.00
_cell_angle_beta 90.00
_cell_angle_gamma 90.00
_space_group_name_H-M_alt 'F m -3 m'
_space_group_IT_number 225
_space_group_name_Hall '-F 4 2 3'
loop_
_atom_site_label
_atom_site_type_symbol
_atom_site_fract_x
_atom_site_fract_y
_atom_site_fract_z
Eu1 Eu 0.2500 0.2500 0.2500
Ta1 Ta 0.0000 0.0000 0.0000
Al1 Al 0.0000 0.0000 0.5000
O1 O 0.0000 0.0000 0.2554
```



Record 9
Computed X-ray diffraction stick pattern of Zr11Os4 for Cu Kα, from a DFT-relaxed cell (GGA-PBE, the Materials Project).
Kinematic intensities with the Lorentz-polarization factor, no thermal factor.

Peak list (10 most intense, 2θ = 10–90°, most intense first)
| 2theta | I_rel |
| --- | --- |
| 37.60 | 100 |
| 44.41 | 32 |
| 34.44 | 29 |
| 22.77 | 28 |
| 67.87 | 19 |
| 84.77 | 17 |
| 72.61 | 13 |
| 54.23 | 11 |
| 26.35 | 9 |
| 59.56 | 9 |

Crystal structure
```
data_Zr11Os4
_chemical_formula_sum 'Zr88 Os32'
_cell_length_a 13.5313
_cell_length_b 13.5313
_cell_length_c 13.5313
_cell_angle_alpha 90.00
_cell_angle_beta 90.00
_cell_angle_gamma 90.00
_space_group_name_H-M_alt 'F m -3 m'
_space_group_IT_number 225
_space_group_name_Hall '-F 4 2 3'
loop_
_atom_site_label
_atom_site_type_symbol
_atom_site_fract_x
_atom_site_fract_y
_atom_site_fract_z
Zr1 Zr 0.0000 0.0000 0.2012
Zr2 Zr 0.1170 0.1170 0.3830
Zr3 Zr 0.1626 0.1626 0.1626
Os1 Os 0.0000 0.0000 0.0000
Os2 Os 0.0000 0.0000 0.5000
Os3 Os 0.0000 0.2500 0.2500
```



Record 10
Computed X-ray diffraction stick pattern of CdGePO7 for Cu Kα, from a DFT-relaxed cell (GGA-PBE, the Materials Project).
Kinematic intensities with the Lorentz-polarization factor, no thermal factor.

Peak list (10 most intense, 2θ = 10–90°, most intense first)
| 2theta | I_rel |
| --- | --- |
| 30.57 | 100 |
| 20.88 | 96 |
| 26.53 | 60 |
| 43.66 | 56 |
| 24.92 | 55 |
| 17.43 | 50 |
| 32.72 | 47 |
| 59.16 | 43 |
| 37.24 | 38 |
| 35.28 | 38 |

Crystal structure
```
data_CdGePO7
_chemical_formula_sum 'Cd8 Ge8 P8 O56'
_cell_length_a 7.1475
_cell_length_b 10.9951
_cell_length_c 13.4394
_cell_angle_alpha 90.00
_cell_angle_beta 90.00
_cell_angle_gamma 90.00
_space_group_name_H-M_alt 'C m c e'
_space_group_IT_number 64
_space_group_name_Hall '-C 2ac 2'
loop_
_atom_site_label
_atom_site_type_symbol
_atom_site_fract_x
_atom_site_fract_y
_atom_site_fract_z
Cd1 Cd 0.2500 0.0986 0.2500
Ge1 Ge 0.2500 0.2500 0.0000
P1 P 0.0000 0.1503 0.6778
O1 O 0.0000 0.0304 0.7370
O2 O 0.0000 0.2342 0.2441
O3 O 0.0000 0.2376 0.9556
O4 O 0.1816 0.1506 0.6134
O5 O 0.2054 0.1112 0.0760
```



Record 11
Computed X-ray diffraction stick pattern of DyB2Ru3 for Cu Kα, from a DFT-relaxed cell (GGA-PBE, the Materials Project).
Kinematic intensities with the Lorentz-polarization factor, no thermal factor.

Peak list (10 most intense, 2θ = 10–90°, most intense first)
| 2theta | I_rel |
| --- | --- |
| 37.71 | 100 |
| 35.03 | 75 |
| 44.40 | 46 |
| 59.63 | 32 |
| 74.01 | 27 |
| 68.08 | 19 |
| 78.92 | 14 |
| 66.35 | 14 |
| 80.53 | 11 |
| 48.53 | 11 |

Crystal structure
```
data_DyB2Ru3
_chemical_formula_sum 'Dy1 B2 Ru3'
_cell_length_a 5.5091
_cell_length_b 5.5091
_cell_length_c 3.0367
_cell_angle_alpha 90.00
_cell_angle_beta 90.00
_cell_angle_gamma 120.00
_space_group_name_H-M_alt 'P 6/m m m'
_space_group_IT_number 191
_space_group_name_Hall '-P 6 2'
loop_
_atom_site_label
_atom_site_type_symbol
_atom_site_fract_x
_atom_site_fract_y
_atom_site_fract_z
Dy1 Dy 0.0000 0.0000 0.0000
B1 B 0.3333 0.6667 0.0000
Ru1 Ru 0.0000 0.5000 0.5000
```



Q: Number 9 is which compound?
A: Zr11Os4